KZrS2: calculated PXRD pattern (Cu Kα (weighted mean of Kα1 and Kα2)), based on a crystal structure in the Materials Project, relaxed with PBE.
Intensities are scaled so that the largest is 100.

Cell and atoms:
```
data_KZrS2
_chemical_formula_sum 'K3 Zr3 S6'
_cell_length_a 3.7672
_cell_length_b 3.7672
_cell_length_c 22.3587
_cell_angle_alpha 90.00
_cell_angle_beta 90.00
_cell_angle_gamma 120.00
_space_group_name_H-M_alt 'R -3 m'
_space_group_IT_number 166
_space_group_name_Hall '-R 3 2"'
loop_
_atom_site_label
_atom_site_fract_x
_atom_site_fract_y
_atom_site_fract_z
_atom_site_occupancy
K1 0.0000 0.0000 0.0000 1
Zr1 0.0000 0.0000 0.5000 1
S1 0.0000 0.0000 0.2336 1
```

The 10 most intense peaks (2θ = 10–90°), by angle:
2θ (°), I/Imax, h k l
11.87, 49, 0 0 3
23.88, 11, 0 0 6
28.50, 16, 0 1 2
31.76, 100, 1 0 4
39.48, 13, 1 0 7
42.60, 35, 0 1 8
48.32, 30, 1 1 0
58.98, 15, 0 2 4
71.18, 11, 1 1 12
79.62, 12, 2 1 4